No. 1
The following is a simulated X-ray diffraction stick pattern of SrCa7Mn8O21. It was derived from a cell relaxed with PBE+U, using Cu Ka.
Lines closer than 0.1° are merged.

Atomic structure:
a = 7.6701 Å, b = 7.7115 Å, c = 7.8039 Å
α = 90.00°, β = 86.55°, γ = 89.94°
Element x y z (fractional)
Sr1 0.0000 0.0000 0.0000
Ca1 0.0344 0.9892 0.5238
Ca2 0.4618 0.5068 0.0335
Ca3 0.4839 0.9813 0.0318
Ca4 0.4973 0.4972 0.5151
Ca5 0.5014 0.9752 0.5046
Ca6 0.9869 0.5126 0.9946
Ca7 0.9988 0.5085 0.4938
Mn1 0.2354 0.2456 0.2680
Mn2 0.2538 0.7407 0.2674
Mn3 0.2571 0.7421 0.7591
Mn4 0.2759 0.2451 0.7548
Mn5 0.7326 0.2498 0.7672
Mn6 0.7388 0.7409 0.2566
Mn7 0.7449 0.2474 0.2450
Mn8 0.7626 0.7473 0.7451
O1 0.0086 0.7383 0.7912
O2 0.1835 0.5025 0.2237
O3 0.1955 0.2805 0.5267
O4 0.2224 0.7113 0.5099
O5 0.2467 0.9961 0.7272
O6 0.2678 0.4919 0.8037
O7 0.2688 0.7735 0.0172
O8 0.2752 0.2089 0.0056
O9 0.2781 0.9897 0.2983
O10 0.4911 0.3006 0.2621
O11 0.4967 0.6948 0.2818
O12 0.5130 0.7504 0.7117
O13 0.5278 0.2334 0.6481
O14 0.6929 0.9961 0.2378
O15 0.7338 0.7212 0.0119
O16 0.7729 0.4863 0.7062
O17 0.7921 0.0114 0.7477
O18 0.7927 0.4943 0.2847
O19 0.8171 0.2710 0.9886
O20 0.8250 0.7766 0.4763
O21 0.9846 0.1848 0.2908

Most intense lines, 10 to 90 degrees two-theta, low angle first:
Position (°2θ)  I_rel  hkl
31.77  57.8  2 0 2
32.68  91.6  0 2 2
32.97  100.0  2 -2 0
33.81  56.0  2 0 -2
46.64  37.5  0 0 4
47.14  39.9  0 4 0
47.50  32.4  4 0 0
56.99  24.4  2 -2 4
57.97  21.3  2 4 2
59.26  21.5  2 4 -2

=====

No. 2
The following is a simulated X-ray diffraction stick pattern of SrCa3Mn4O12. It was derived from a cell relaxed with PBE+U, using Cu Ka.
Lines closer than 0.1° are merged.

Atomic structure:
a = 3.8345 Å, b = 3.8345 Å, c = 15.2830 Å
α = 90.00°, β = 90.00°, γ = 90.00°
Element x y z (fractional)
Sr1 0.0000 0.0000 0.0000
Ca1 0.0000 0.0000 0.2503
Ca2 0.0000 0.0000 0.5000
Ca3 0.0000 0.0000 0.7497
Mn1 0.5000 0.5000 0.1267
Mn2 0.5000 0.5000 0.3754
Mn3 0.5000 0.5000 0.6246
Mn4 0.5000 0.5000 0.8733
O1 0.0000 0.5000 0.1298
O2 0.0000 0.5000 0.3759
O3 0.0000 0.5000 0.6241
O4 0.0000 0.5000 0.8702
O5 0.5000 0.0000 0.1298
O6 0.5000 0.0000 0.3759
O7 0.5000 0.0000 0.6241
O8 0.5000 0.0000 0.8702
O9 0.5000 0.5000 0.0000
O10 0.5000 0.5000 0.2517
O11 0.5000 0.5000 0.5000
O12 0.5000 0.5000 0.7483

Most intense lines, 10 to 90 degrees two-theta, low angle first:
Position (°2θ)  I_rel  hkl
33.08  100.0  1 1 0
40.81  8.7  1 1 4
47.42  31.9  2 0 0
47.60  15.6  0 0 8
59.04  23.7  2 1 4
59.16  11.9  1 1 8
69.31  8.6  2 2 0
69.46  16.9  2 0 8
78.97  9.9  3 1 0
88.42  8.3  2 2 8

=====

No. 3
The following is a simulated X-ray diffraction stick pattern of SrCa3Mn4O12. It was derived from a cell relaxed with PBE+U, using Cu Ka.
Lines closer than 0.1° are merged.

Atomic structure:
a = 5.3881 Å, b = 7.6220 Å, c = 5.4146 Å
α = 90.00°, β = 90.17°, γ = 90.00°
Element x y z (fractional)
Sr1 0.0000 0.0000 0.0000
Ca1 0.4859 0.0000 0.5104
Ca2 0.5007 0.5000 0.4353
Ca3 0.9864 0.5000 0.9326
Mn1 0.4933 0.2524 0.9716
Mn2 0.4933 0.7476 0.9716
Mn3 0.9946 0.2521 0.4706
Mn4 0.9946 0.7479 0.4706
O1 0.0681 0.5000 0.4929
O2 0.2108 0.2216 0.7540
O3 0.2108 0.7784 0.7540
O4 0.2872 0.2159 0.2637
O5 0.2872 0.7841 0.2637
O6 0.4184 0.5000 0.9956
O7 0.5480 0.0000 0.9496
O8 0.7061 0.2886 0.6850
O9 0.7061 0.7114 0.6850
O10 0.7837 0.2906 0.1842
O11 0.7837 0.7094 0.1842
O12 0.9202 0.0000 0.4652

Most intense lines, 10 to 90 degrees two-theta, low angle first:
Position (°2θ)  I_rel  hkl
33.15  100.0  1 2 -1
33.24  97.4  1 2 1
47.54  25.9  2 0 -2
47.71  52.9  0 4 0
59.18  21.9  1 2 3
59.33  29.2  3 2 -1
59.43  29.3  3 2 1
69.66  12.4  2 4 -2
69.79  18.0  2 4 2
79.51  13.6  1 6 -1

=====

No. 4
The following is a simulated X-ray diffraction stick pattern of Sr3Ca5Mn8O22. It was derived from a cell relaxed with PBE+U, using Cu Ka.
Lines closer than 0.1° are merged.

Atomic structure:
a = 7.7146 Å, b = 7.7255 Å, c = 7.7210 Å
α = 90.00°, β = 90.05°, γ = 90.00°
Element x y z (fractional)
Sr1 0.0000 0.0000 0.0000
Sr2 0.0000 0.0000 0.5000
Sr3 0.0000 0.5000 0.0000
Ca1 0.0000 0.5000 0.5000
Ca2 0.5000 0.0000 0.0000
Ca3 0.5000 0.0000 0.5000
Ca4 0.5000 0.5000 0.0000
Ca5 0.5000 0.5000 0.5000
Mn1 0.2522 0.2593 0.7492
Mn2 0.2522 0.7407 0.7492
Mn3 0.2531 0.2440 0.2508
Mn4 0.2531 0.7560 0.2508
Mn5 0.7469 0.2440 0.7492
Mn6 0.7469 0.7560 0.7492
Mn7 0.7478 0.2593 0.2508
Mn8 0.7478 0.7407 0.2508
O1 0.0044 0.2371 0.7481
O2 0.0044 0.7629 0.7481
O3 0.2534 0.0000 0.2506
O4 0.2558 0.2320 0.5047
O5 0.2558 0.7680 0.5047
O6 0.2568 0.2314 0.9949
O7 0.2573 0.5000 0.2535
O8 0.2567 0.5000 0.7464
O9 0.2568 0.7686 0.9949
O10 0.4946 0.2259 0.7494
O11 0.4946 0.7741 0.7494
O12 0.5054 0.2259 0.2506
O13 0.5054 0.7741 0.2506
O14 0.7432 0.2314 0.0051
O15 0.7433 0.5000 0.2536
O16 0.7427 0.5000 0.7465
O17 0.7432 0.7686 0.0051
O18 0.7442 0.2320 0.4953
O19 0.7442 0.7680 0.4953
O20 0.7466 0.0000 0.7494
O21 0.9956 0.2371 0.2519
O22 0.9956 0.7629 0.2519

Most intense lines, 10 to 90 degrees two-theta, low angle first:
Position (°2θ)  I_rel  hkl
11.47  4.7  1 0 0
25.80  5.7  1 2 0
32.81  100.0  2 2 0
40.47  8.0  2 2 2
47.08  41.7  0 0 4
58.58  36.3  4 2 2
68.79  22.4  4 0 4
78.30  11.0  0 2 6
78.39  3.7  6 2 0
87.55  7.2  4 4 4